Entry 1:
For Na2PuTlI6, DFT lattice parameters and positions (GGA-PBE) gives the simulated powder diffractogram in this record (Cu Kα (λ = 1.5418 Å)).

Top 10 peaks for 5° ≤ 2θ ≤ 70°, low angle first:
| index | two_theta | I (rel.) |
| --- | --- | --- |
| 0 1 2 | 14.8 | 70.9 |
| 1 0 4 | 20.1 | 34.2 |
| 2 -1 3 | 24.8 | 100.0 |
| 2 0 2 | 26.5 | 18.9 |
| 2 -1 6 | 32.3 | 85.1 |
| 3 -1 4 | 37.3 | 22.2 |
| 3 0 0 | 38.3 | 52.5 |
| 1 1 9 | 42.1 | 25.6 |
| 2 2 6 | 50.9 | 21.6 |
| 3 0 12 | 63.0 | 19.6 |

Structure:
a = 8.1386 Å, b = 8.1386 Å, c = 22.7681 Å
α = 90.00°, β = 90.00°, γ = 120.00°
Space group R3 (No. 146, hexagonal axes)
One atom of each set of equivalent atoms:
Na 0.0000 0.0000 0.0000 (multiplicity 3)
Na 0.0000 0.0000 0.4878 (multiplicity 3)
Pu 0.0000 0.0000 0.6747 (multiplicity 3)
Tl 0.0000 0.0000 0.1863 (multiplicity 3)
I 0.0081 0.3255 0.7491 (multiplicity 9)
I 0.0204 0.6327 0.2548 (multiplicity 9)

---

Entry 2:
For Rb4NaI5, DFT lattice parameters and positions (GGA-PBE) gives the simulated powder diffractogram in this record (Cu Kα (λ = 1.5418 Å)).

Top 10 peaks for 5° ≤ 2θ ≤ 70°, low angle first:
| index | two_theta | I (rel.) |
| --- | --- | --- |
| 0 1 5 | 21.2 | 9.6 |
| 1 0 10 | 24.4 | 100.0 |
| 0 1 20 | 34.7 | 31.2 |
| 1 1 0 | 34.9 | 42.2 |
| 0 2 10 | 43.1 | 21.5 |
| 2 0 20 | 50.1 | 10.8 |
| 1 1 27 | 52.8 | 9.9 |
| 1 1 30 | 56.3 | 9.7 |
| 2 1 10 | 56.6 | 18.9 |
| 1 2 20 | 62.5 | 11.0 |

Structure:
a = 5.1362 Å, b = 5.1362 Å, c = 63.5515 Å
α = 90.00°, β = 90.00°, γ = 120.00°
Space group R-3m (No. 166, hexagonal axes)
One atom of each set of equivalent atoms:
Rb 0.0000 0.0000 0.1047 (multiplicity 6)
Rb 0.0000 0.0000 0.2984 (multiplicity 6)
Na 0.0000 0.0000 0.5000 (multiplicity 3)
I 0.0000 0.0000 0.0000 (multiplicity 3)
I 0.0000 0.0000 0.1930 (multiplicity 6)
I 0.0000 0.0000 0.4035 (multiplicity 6)

---

Entry 3:
For Rb2NaSeI6, DFT lattice parameters and positions (GGA-PBE) gives the simulated powder diffractogram in this record (Cu Kα (λ = 1.5418 Å)).

Top 10 peaks for 5° ≤ 2θ ≤ 70°, low angle first:
| index | two_theta | I (rel.) |
| --- | --- | --- |
| 1 1 0 | 14.8 | 9.6 |
| 2 0 2 | 25.3 | 100.0 |
| 0 0 4 | 28.1 | 30.7 |
| 2 2 0 | 29.9 | 50.7 |
| 2 2 4 | 41.5 | 40.3 |
| 4 0 0 | 42.9 | 18.4 |
| 2 0 6 | 48.0 | 16.4 |
| 4 2 2 | 50.4 | 26.9 |
| 4 0 4 | 52.0 | 19.8 |
| 4 2 6 | 66.3 | 11.2 |

Structure:
a = 8.4404 Å, b = 8.4404 Å, c = 12.7167 Å
α = 90.00°, β = 90.00°, γ = 90.00°
Space group I4/mmm (No. 139)
One atom of each set of equivalent atoms:
Rb 0.0000 0.5000 0.2500 (multiplicity 4)
Na 0.0000 0.0000 0.0000 (multiplicity 2)
Se 0.0000 0.0000 0.5000 (multiplicity 2)
I 0.0000 0.0000 0.2394 (multiplicity 4)
I 0.2340 0.2340 0.5000 (multiplicity 8)

---

Entry 4:
For Rb2NaTl3I6, DFT lattice parameters and positions (GGA-PBE) gives the simulated powder diffractogram in this record (Cu Kα (λ = 1.5418 Å)).

Top 10 peaks for 5° ≤ 2θ ≤ 70°, low angle first:
| index | two_theta | I (rel.) |
| --- | --- | --- |
| 0 0 1 | 10.8 | 13.4 |
| 1 3 0 | 20.6 | 10.5 |
| 2 0 -2 | 24.9 | 100.0 |
| 3 3 -1 | 35.5 | 37.9 |
| 1 3 -3 | 35.6 | 39.4 |
| 2 6 -2 | 43.9 | 20.4 |
| 2 6 2 | 51.2 | 8.4 |
| 3 3 -5 | 57.7 | 12.1 |
| 0 6 4 | 57.8 | 17.4 |
| 4 6 -4 | 63.8 | 12.2 |

Structure:
a = 8.7740 Å, b = 15.1454 Å, c = 8.7343 Å
α = 90.00°, β = 109.68°, γ = 90.00°
Space group C2/m (No. 12)
One atom of each set of equivalent atoms:
Rb 0.0000 0.1653 0.0000 (multiplicity 4)
Na 0.0000 0.5000 0.0000 (multiplicity 2)
Tl 0.0000 0.0000 0.5000 (multiplicity 2)
Tl 0.0000 0.3303 0.5000 (multiplicity 4)
I 0.2252 0.5000 0.7451 (multiplicity 4)
I 0.2345 0.3463 0.2437 (multiplicity 8)